No. 1
For Li2Ni2Sb2Pt, the PBE geometry in OQMD gives the computed XRD peak list in this record (Cu Kα, 1.54184 Å).

Structure:
abc: 4.2950 4.2950 20.5817
angles: 90.00 90.00 120.00
Space group R3m (No. 160, hexagonal axes)
Symmetry-distinct sites (fractional):
Li (0.0000, 0.0000, 0.0000) x3
Li (0.0000, 0.0000, 0.4809) x3
Ni (0.0000, 0.0000, 0.1246) x3
Ni (0.0000, 0.0000, 0.6118) x3
Sb (0.0000, 0.0000, 0.2530) x3
Sb (0.0000, 0.0000, 0.7375) x3
Pt (0.0000, 0.0000, 0.8678) x3

Principal peaks in the range 15 to 90 degrees two-theta, in order of falling intensity:
hkl  2θ (°)  I (rel.)
1 1 0  42.08  100
0 1 8  42.73  87
0 1 2  25.46  67
1 0 1  24.32  40
1 0 7  39.05  33
1 2 8  77.35  29
2 0 8  61.53  29
0 1 5  32.44  27
0 0 6  25.98  18
1 1 6  50.12  18
1 1 3  44.19  18
3 0 0  76.89  16


No. 2
For Li2ZnNiS4, the PBE geometry in OQMD gives the computed XRD peak list in this record (Cu Kα, 1.54184 Å).

Structure:
abc: 6.220 6.314 10.043
angles: 90.00 128.17 90.00
Space group Pc (No. 7)
Symmetry-distinct sites (fractional):
Li (0.000, 0.152, 0.000) x2
Li (0.752, 0.327, 0.239) x2
Zn (0.267, 0.319, 0.750) x2
Ni (0.506, 0.178, 0.497) x2
S (0.169, 0.330, 0.268) x2
S (0.379, 0.142, 0.988) x2
S (0.620, 0.310, 0.732) x2
S (0.857, 0.209, 0.501) x2

Principal peaks in the range 15 to 90 degrees two-theta, in order of falling intensity:
hkl  2θ (°)  I (rel.)
1 0 0  18.16  100
0 1 1  17.99  85
2 0 -2  28.70  59
0 1 2  26.63  57
3 1 -1  51.87  57
1 1 1  30.32  55
0 2 0  28.27  48
0 3 2  49.05  43
0 0 4  45.98  30
2 3 -4  57.82  25
1 1 -2  23.02  22
3 2 -3  52.83  19


No. 3
For LiNi3Sb5, the PBE geometry in OQMD gives the computed XRD peak list in this record (Cu Kα, 1.54184 Å).

Structure:
abc: 5.2982 5.2982 8.1033
angles: 90.00 90.00 120.00
Space group P6/mmm (No. 191)
Symmetry-distinct sites (fractional):
Li (0.0000, 0.0000, 0.0000) x1
Ni (0.0000, 0.5000, 0.5000) x3
Sb (0.0000, 0.0000, 0.5000) x1
Sb (0.3333, 0.6667, 0.2300) x4

Principal peaks in the range 15 to 90 degrees two-theta, in order of falling intensity:
hkl  2θ (°)  I (rel.)
1 1 0  33.84  100
2 0 2  45.43  90
1 0 2  29.41  85
1 1 2  40.69  67
2 0 1  40.88  46
1 0 0  19.34  45
2 2 0  71.21  39
1 1 4  57.25  34
0 0 3  33.17  29
0 0 4  44.74  28
2 1 2  57.83  25
2 2 4  88.12  24


No. 4
For Li2Ni3Sb2, the PBE geometry in OQMD gives the computed XRD peak list in this record (Cu Kα, 1.54184 Å).

Structure:
abc: 4.2022 4.2022 20.3601
angles: 90.00 90.00 120.00
Space group R3m (No. 160, hexagonal axes)
Symmetry-distinct sites (fractional):
Li (0.0000, 0.0000, 0.0000) x3
Li (0.0000, 0.0000, 0.4862) x3
Ni (0.0000, 0.0000, 0.3617) x3
Ni (0.0000, 0.0000, 0.6169) x3
Ni (0.0000, 0.0000, 0.8716) x3
Sb (0.0000, 0.0000, 0.2374) x3
Sb (0.0000, 0.0000, 0.7444) x3

Principal peaks in the range 15 to 90 degrees two-theta, in order of falling intensity:
hkl  2θ (°)  I (rel.)
0 1 2  26.00  100
1 1 0  43.05  89
0 1 8  43.39  83
0 0 6  26.26  32
1 1 6  51.13  30
1 2 8  79.15  27
2 0 8  62.77  27
2 0 2  50.98  15
1 0 10  51.43  14
3 0 0  78.92  14
1 2 2  68.88  12
1 0 16  79.85  12